Structure and theoretical X-ray diffraction stick pattern of Sm3Te3Br (a crystal structure in Alexandria, relaxed with GGA-PBE; Cu Kα).

Most intense lines, 10 to 90 degrees two-theta, in order of rising 2θ:
| (hkl) | d_spacing | I/Imax |
| --- | --- | --- |
| 1 1 0 | 3.133 | 100 |
| 0 0 4 | 2.997 | 41 |
| 1 1 3 | 2.466 | 14 |
| 2 0 0 | 2.216 | 38 |
| 1 1 4 | 2.166 | 65 |
| 2 0 4 | 1.782 | 36 |
| 2 2 0 | 1.567 | 13 |
| 3 1 0 | 1.401 | 17 |
| 2 2 4 | 1.388 | 16 |
| 3 1 4 | 1.269 | 23 |

```
data_Sm3Te3Br
_cell_length_a 4.4312
_cell_length_b 4.4312
_cell_length_c 11.9886
_cell_angle_alpha 90.00
_cell_angle_beta 90.00
_cell_angle_gamma 90.00
_space_group_name_H-M_alt 'P 4/m m m'
_space_group_IT_number 123
_space_group_name_Hall '-P 4 2'
loop_
_atom_site_label
_atom_site_type_symbol
_atom_site_fract_x
_atom_site_fract_y
_atom_site_fract_z
Sm1 Sm 0.0000 0.0000 0.0000
Sm2 Sm 0.5000 0.5000 0.2609
Te1 Te 0.0000 0.0000 0.2682
Te2 Te 0.5000 0.5000 0.0000
Br1 Br 0.5000 0.5000 0.5000
```

=====

Structure and theoretical X-ray diffraction stick pattern of Er4Al16Co3 (a crystal structure in Alexandria, relaxed with GGA-PBE; Cu Kα).

Most intense lines, 10 to 90 degrees two-theta, in order of rising 2θ:
| (hkl) | d_spacing | I/Imax |
| --- | --- | --- |
| 1 1 0 | 4.241 | 97 |
| 1 1 2 | 3.373 | 36 |
| 2 0 0 | 2.999 | 45 |
| 1 1 3 | 2.792 | 87 |
| 2 0 2 | 2.640 | 44 |
| 2 0 3 | 2.332 | 100 |
| 2 2 0 | 2.121 | 67 |
| 3 1 3 | 1.689 | 39 |
| 2 2 5 | 1.535 | 28 |
| 4 2 3 | 1.261 | 37 |

```
data_Er4Al16Co3
_cell_length_a 5.9983
_cell_length_b 5.9983
_cell_length_c 11.1269
_cell_angle_alpha 90.00
_cell_angle_beta 90.00
_cell_angle_gamma 90.00
_space_group_name_H-M_alt 'P 4/m m m'
_space_group_IT_number 123
_space_group_name_Hall '-P 4 2'
loop_
_atom_site_label
_atom_site_type_symbol
_atom_site_fract_x
_atom_site_fract_y
_atom_site_fract_z
Er1 Er 0.0000 0.5000 0.1929
Al1 Al 0.0000 0.0000 0.1933
Al2 Al 0.2243 0.2243 0.0000
Al3 Al 0.2507 0.2507 0.3842
Al4 Al 0.5000 0.5000 0.2140
Co1 Co 0.0000 0.5000 0.5000
Co2 Co 0.5000 0.5000 0.0000
```

=====

Structure and theoretical X-ray diffraction stick pattern of Pr2PO6 (a crystal structure in Alexandria, relaxed with GGA-PBE; Cu Kα).

Most intense lines, 10 to 90 degrees two-theta, in order of rising 2θ:
| (hkl) | d_spacing | I/Imax |
| --- | --- | --- |
| 1 1 -1 | 4.004 | 100 |
| 0 0 2 | 3.698 | 64 |
| 1 1 0 | 3.627 | 46 |
| 1 1 -2 | 3.424 | 40 |
| 1 1 1 | 2.815 | 73 |
| 0 2 1 | 2.789 | 62 |
| 2 0 -2 | 2.681 | 36 |
| 1 1 -3 | 2.628 | 63 |
| 2 0 0 | 2.271 | 36 |
| 1 3 0 | 1.836 | 39 |

```
data_Pr2PO6
_cell_length_a 5.3847
_cell_length_b 6.0219
_cell_length_c 8.7635
_cell_angle_alpha 90.00
_cell_angle_beta 122.44
_cell_angle_gamma 90.00
_space_group_name_H-M_alt 'P 1 21/c 1'
_space_group_IT_number 14
loop_
_space_group_symop_operation_xyz
'x,y,z'
'-x,-y,-z'
'-x,y+1/2,-z+1/2'
'x,-y+1/2,z+1/2'
loop_
_atom_site_label
_atom_site_type_symbol
_atom_site_fract_x
_atom_site_fract_y
_atom_site_fract_z
Pr1 Pr 0.2148 0.0847 0.2505
P1 P 0.5000 0.0000 0.0000
O1 O 0.1937 0.1458 0.9614
O2 O 0.3045 0.7488 0.4456
O3 O 0.3860 0.0346 0.7806
```

=====

Structure and theoretical X-ray diffraction stick pattern of Rb5Li6B11O22 (a crystal structure in Alexandria, relaxed with GGA-PBE; Cu Kα).

Most intense lines, 10 to 90 degrees two-theta, in order of rising 2θ:
| (hkl) | d_spacing | I/Imax |
| --- | --- | --- |
| 1 1 2 | 4.164 | 35 |
| 1 1 -3 | 3.908 | 33 |
| 0 2 1 | 3.482 | 39 |
| 3 1 -2 | 3.370 | 61 |
| 1 1 3 | 3.335 | 100 |
| 1 1 -4 | 3.150 | 48 |
| 2 2 -1 | 3.074 | 97 |
| 4 0 -2 | 2.939 | 40 |
| 3 1 -5 | 2.429 | 37 |
| 4 0 3 | 2.108 | 38 |

```
data_Rb5Li6B11O22
_cell_length_a 11.8457
_cell_length_b 7.2139
_cell_length_c 14.0087
_cell_angle_alpha 90.00
_cell_angle_beta 107.82
_cell_angle_gamma 90.00
_space_group_name_H-M_alt 'C 1 2 1'
_space_group_IT_number 5
loop_
_space_group_symop_operation_xyz
'x,y,z'
'-x,y,-z'
'x+1/2,y+1/2,z'
'-x+1/2,y+1/2,-z'
loop_
_atom_site_label
_atom_site_type_symbol
_atom_site_fract_x
_atom_site_fract_y
_atom_site_fract_z
Rb1 Rb 0.0000 0.0000 0.0000
Rb2 Rb 0.1813 0.8511 0.7858
Rb3 Rb 0.1977 0.6613 0.4120
Li1 Li 0.0829 0.4771 0.5930
Li2 Li 0.2058 0.6844 0.0458
Li3 Li 0.2282 0.3234 0.7667
B1 B 0.0000 0.8571 0.5000
B2 B 0.0057 0.1500 0.4101
B3 B 0.0142 0.2868 0.7637
B4 B 0.0466 0.5799 0.1637
B5 B 0.1474 0.4369 0.9250
B6 B 0.1545 0.0927 0.3183
O1 O 0.0000 0.2554 0.5000
O2 O 0.0000 0.6693 0.5000
O3 O 0.0448 0.9597 0.5892
O4 O 0.0505 0.4677 0.2456
O5 O 0.0626 0.2559 0.6798
O6 O 0.0646 0.5830 0.9149
O7 O 0.0674 0.1390 0.2278
O8 O 0.1206 0.2910 0.8561
O9 O 0.1301 0.1283 0.4083
O10 O 0.1381 0.6833 0.1580
O11 O 0.2411 0.5173 0.6808
O12 O 0.2493 0.9398 0.0011
```

=====

Structure and theoretical X-ray diffraction stick pattern of Cs3InH4 (a crystal structure in Alexandria, relaxed with GGA-PBE; Cu Kα).

Most intense lines, 10 to 90 degrees two-theta, in order of rising 2θ:
| (hkl) | d_spacing | I/Imax |
| --- | --- | --- |
| 2 2 0 | 3.443 | 100 |
| 0 2 2 | 3.399 | 86 |
| 0 3 1 | 3.326 | 14 |
| 2 0 2 | 3.129 | 72 |
| 0 4 0 | 2.696 | 23 |
| 4 0 0 | 2.238 | 16 |
| 2 4 2 | 2.043 | 32 |
| 2 3 3 | 2.022 | 15 |
| 4 2 2 | 1.869 | 25 |
| 2 2 4 | 1.847 | 18 |

```
data_Cs3InH4
_cell_length_a 8.9481
_cell_length_b 10.7853
_cell_length_c 8.7567
_cell_angle_alpha 90.00
_cell_angle_beta 90.00
_cell_angle_gamma 90.00
_space_group_name_H-M_alt 'P n m a'
_space_group_IT_number 62
loop_
_space_group_symop_operation_xyz
'x,y,z'
'-x,-y,-z'
'-x+1/2,-y,z+1/2'
'x+1/2,y,-z+1/2'
'x+1/2,-y+1/2,-z+1/2'
'-x+1/2,y+1/2,z+1/2'
'-x,y+1/2,-z'
'x,-y+1/2,z'
loop_
_atom_site_label
_atom_site_type_symbol
_atom_site_fract_x
_atom_site_fract_y
_atom_site_fract_z
Cs1 Cs 0.0021 0.0277 0.2459
Cs2 Cs 0.2423 0.7500 0.4395
In1 In 0.2134 0.2500 0.5129
H1 H 0.0855 0.7500 0.0895
H2 H 0.2335 0.7500 0.7985
H3 H 0.2491 0.0286 0.4980
```

=====

Structure and theoretical X-ray diffraction stick pattern of K6P2Rh (a crystal structure in Alexandria, relaxed with GGA-PBE; Cu Kα).

Most intense lines, 10 to 90 degrees two-theta, in order of rising 2θ:
| (hkl) | d_spacing | I/Imax |
| --- | --- | --- |
| 1 0 0 | 7.647 | 27 |
| 1 1 0 | 4.415 | 22 |
| 1 0 1 | 4.177 | 42 |
| 1 1 1 | 3.305 | 22 |
| 2 0 1 | 3.034 | 100 |
| 2 1 0 | 2.890 | 47 |
| 1 2 1 | 2.501 | 19 |
| 0 3 1 | 2.270 | 21 |
| 2 2 0 | 2.207 | 31 |
| 0 2 2 | 2.088 | 28 |

```
data_K6P2Rh
_cell_length_a 8.8296
_cell_length_b 8.8296
_cell_length_c 4.9864
_cell_angle_alpha 90.00
_cell_angle_beta 90.00
_cell_angle_gamma 120.00
_space_group_name_H-M_alt 'P -3 m 1'
_space_group_IT_number 164
_space_group_name_Hall '-P 3 2"'
loop_
_atom_site_label
_atom_site_type_symbol
_atom_site_fract_x
_atom_site_fract_y
_atom_site_fract_z
K1 K 0.1937 0.3874 0.2424
P1 P 0.3333 0.6667 0.7450
Rh1 Rh 0.0000 0.0000 0.5000
```

=====

Structure and theoretical X-ray diffraction stick pattern of NaRhAuO4 (a crystal structure in Alexandria, relaxed with GGA-PBE; Cu Kα).

Most intense lines, 10 to 90 degrees two-theta, in order of rising 2θ:
| (hkl) | d_spacing | I/Imax |
| --- | --- | --- |
| 0 1 1 | 5.317 | 44 |
| 1 0 1 | 5.278 | 100 |
| 1 0 3 | 2.996 | 51 |
| 1 2 1 | 2.677 | 50 |
| 0 2 2 | 2.659 | 51 |
| 2 0 2 | 2.639 | 37 |
| 0 0 4 | 2.571 | 27 |
| 2 2 0 | 2.185 | 37 |
| 1 2 3 | 2.156 | 25 |
| 2 2 4 | 1.665 | 35 |

```
data_NaRhAuO4
_cell_length_a 6.1499
_cell_length_b 6.2107
_cell_length_c 10.2858
_cell_angle_alpha 90.00
_cell_angle_beta 90.00
_cell_angle_gamma 90.00
_space_group_name_H-M_alt 'I m m a'
_space_group_IT_number 74
_space_group_name_Hall '-I 2b 2'
loop_
_atom_site_label
_atom_site_type_symbol
_atom_site_fract_x
_atom_site_fract_y
_atom_site_fract_z
Na1 Na 0.0000 0.2500 0.1009
Rh1 Rh 0.2500 0.2500 0.7500
Au1 Au 0.0000 0.0000 0.5000
O1 O 0.0000 0.0483 0.7742
O2 O 0.2107 0.2500 0.5511
```

=====

Structure and theoretical X-ray diffraction stick pattern of CrIr3 (a crystal structure in Alexandria, relaxed with GGA-PBE; Cu Kα).

Most intense lines, 10 to 90 degrees two-theta, in order of rising 2θ:
| (hkl) | d_spacing | I/Imax |
| --- | --- | --- |
| 1 0 0 | 3.825 | 15 |
| 1 1 0 | 2.704 | 12 |
| 1 1 1 | 2.208 | 100 |
| 2 0 0 | 1.912 | 49 |
| 2 1 0 | 1.710 | 7 |
| 2 1 1 | 1.561 | 5 |
| 2 2 0 | 1.352 | 31 |
| 3 0 0 | 1.275 | 3 |
| 3 1 1 | 1.153 | 38 |
| 2 2 2 | 1.104 | 11 |

```
data_CrIr3
_cell_length_a 3.8246
_cell_length_b 3.8246
_cell_length_c 3.8246
_cell_angle_alpha 90.00
_cell_angle_beta 90.00
_cell_angle_gamma 90.00
_space_group_name_H-M_alt 'P m -3 m'
_space_group_IT_number 221
_space_group_name_Hall '-P 4 2 3'
loop_
_atom_site_label
_atom_site_type_symbol
_atom_site_fract_x
_atom_site_fract_y
_atom_site_fract_z
Cr1 Cr 0.0000 0.0000 0.0000
Ir1 Ir 0.0000 0.5000 0.5000
```